[1]
# NaGa9Cu3
Computed X-ray powder pattern, Cu Kα (weighted mean of Kα1 and Kα2). Input: a structure optimized by DFT (GGA-PBE).
Intensities are scaled so that the largest is 1000.

Structural model:
```
NaGa9Cu3
1.0
2.574 -6.830 0.000
2.574 6.830 0.000
-2.318 0.000 6.295
Na Ga Cu
1 9 3
Direct
0.000 0.000 0.000
0.000 0.000 0.500
0.021 0.663 0.661
0.299 0.519 0.787
0.337 0.979 0.339
0.481 0.701 0.213
0.519 0.299 0.787
0.663 0.021 0.661
0.701 0.481 0.213
0.979 0.337 0.339
0.000 0.500 0.000
0.500 0.000 0.000
0.500 0.500 0.500
```

Principal peaks in the range 2θ from 10° to 90°, low angle first:
2θ (°)  I_rel
19.18  392
37.83  491
38.91  1000
39.58  490
40.64  481
42.21  442
44.09  862
44.59  429
45.21  435
46.50  351



[2]
# Na2Ga12Cu
Computed X-ray powder pattern, Cu Kα (weighted mean of Kα1 and Kα2). Input: a structure optimized by DFT (GGA-PBE).
Intensities are scaled so that the largest is 1000.

Structural model:
```
Na2Ga12Cu
1.0
6.113 0.000 0.000
0.000 6.113 0.000
0.000 0.000 15.940
Na Ga Cu
4 24 2
Direct
0.250 0.750 0.248
0.250 0.750 0.752
0.750 0.250 0.248
0.750 0.250 0.752
0.000 0.000 0.414
0.000 0.000 0.586
0.000 0.500 0.414
0.000 0.500 0.586
0.067 0.567 0.072
0.067 0.933 0.928
0.250 0.250 0.162
0.250 0.250 0.320
0.250 0.250 0.680
0.250 0.250 0.838
0.433 0.567 0.928
0.433 0.933 0.072
0.500 0.000 0.414
0.500 0.000 0.586
0.500 0.500 0.414
0.500 0.500 0.586
0.567 0.067 0.928
0.567 0.433 0.072
0.750 0.750 0.162
0.750 0.750 0.320
0.750 0.750 0.680
0.750 0.750 0.838
0.933 0.067 0.072
0.933 0.433 0.928
0.250 0.750 0.500
0.750 0.250 0.500
```

Principal peaks in the range 2θ from 10° to 90°, low angle first:
2θ (°)  I_rel
11.10  441
23.41  440
30.51  254
31.34  762
37.01  369
39.83  217
39.99  184
41.79  754
45.22  1000
78.73  203



[3]
# Nb2Ga4Cu
Computed X-ray powder pattern, Cu Kα (weighted mean of Kα1 and Kα2). Input: a structure optimized by DFT (GGA-PBE).
Intensities are scaled so that the largest is 1000.

Structural model:
```
Nb2Ga4Cu
1.0
-2.305 2.305 6.466
2.305 -2.305 6.466
2.305 2.305 -6.466
Nb Ga Cu
2 4 1
Direct
0.108 0.108 0.000
0.892 0.892 0.000
0.000 0.500 0.500
0.314 0.314 0.000
0.500 0.000 0.500
0.686 0.686 0.000
0.500 0.500 0.000
```

Principal peaks in the range 2θ from 10° to 90°, low angle first:
2θ (°)  I_rel
13.70  530
27.35  582
30.71  239
39.07  1000
39.24  423
39.97  916
56.45  330
57.13  621
71.39  155
84.52  194



Repeat the second record exactly.
# Na2Ga12Cu
Computed X-ray powder pattern, Cu Kα (weighted mean of Kα1 and Kα2). Input: a structure optimized by DFT (GGA-PBE).
Intensities are scaled so that the largest is 1000.

Structural model:
```
Na2Ga12Cu
1.0
6.113 0.000 0.000
0.000 6.113 0.000
0.000 0.000 15.940
Na Ga Cu
4 24 2
Direct
0.250 0.750 0.248
0.250 0.750 0.752
0.750 0.250 0.248
0.750 0.250 0.752
0.000 0.000 0.414
0.000 0.000 0.586
0.000 0.500 0.414
0.000 0.500 0.586
0.067 0.567 0.072
0.067 0.933 0.928
0.250 0.250 0.162
0.250 0.250 0.320
0.250 0.250 0.680
0.250 0.250 0.838
0.433 0.567 0.928
0.433 0.933 0.072
0.500 0.000 0.414
0.500 0.000 0.586
0.500 0.500 0.414
0.500 0.500 0.586
0.567 0.067 0.928
0.567 0.433 0.072
0.750 0.750 0.162
0.750 0.750 0.320
0.750 0.750 0.680
0.750 0.750 0.838
0.933 0.067 0.072
0.933 0.433 0.928
0.250 0.750 0.500
0.750 0.250 0.500
```

Principal peaks in the range 2θ from 10° to 90°, low angle first:
2θ (°)  I_rel
11.10  441
23.41  440
30.51  254
31.34  762
37.01  369
39.83  217
39.99  184
41.79  754
45.22  1000
78.73  203